AsCl2F3: theoretical XRD peak list (Cu Kα, 1.54184 Å), based on a GGA-PBE-relaxed structure.

Main lines, low angle first (2θ from 15° to 90°):
2θ 16.92, rel. 25, (1 0 1)
2θ 19.62, rel. 99, (1 1 1)
2θ 19.80, rel. 100, (2 0 0)
2θ 26.16, rel. 63, (2 1 1)
2θ 29.41, rel. 20, (1 0 2)
2θ 34.54, rel. 15, (1 3 1)
2θ 39.85, rel. 14, (2 2 2)
2θ 40.22, rel. 22, (4 0 0)
2θ 42.42, rel. 17, (1 3 2)
2θ 51.31, rel. 15, (2 2 3)
2θ 57.12, rel. 14, (2 5 1)
2θ 63.40, rel. 16, (2 4 3)

```
AsCl2F3
1.0
8.968 0.000 0.000
0.000 8.968 0.000
0.000 0.000 6.457
As Cl F
4 8 12
Direct
0.250 0.250 0.164
0.250 0.750 0.500
0.750 0.250 0.500
0.750 0.750 0.836
0.062 0.722 0.311
0.222 0.938 0.689
0.278 0.562 0.689
0.438 0.778 0.311
0.562 0.222 0.689
0.722 0.438 0.311
0.778 0.062 0.311
0.938 0.278 0.689
0.059 0.304 0.162
0.196 0.059 0.162
0.250 0.250 0.437
0.250 0.250 0.887
0.304 0.441 0.162
0.441 0.196 0.162
0.559 0.804 0.838
0.696 0.559 0.838
0.750 0.750 0.113
0.750 0.750 0.563
0.804 0.941 0.838
0.941 0.696 0.838
```